Starting from a cell relaxed with GGA-PBE, the X-ray diffraction stick pattern of Na6AuBr8 was calculated for Cu Kα X-rays.

The 6 most intense peaks (2θ from 15° to 90°), low angle first:
| Position (°2θ) | d/Å | I_rel |
| --- | --- | --- |
| 24.61 | 3.617 | 21 |
| 29.79 | 2.999 | 100 |
| 42.63 | 2.121 | 72 |
| 52.87 | 1.732 | 24 |
| 70.16 | 1.341 | 29 |
| 78.04 | 1.224 | 21 |

Atomic structure:
```
data_Na6AuBr8
_space_group_name_H-M_alt 'F m -3 m'
_space_group_IT_number 225
_space_group_name_Hall '-F 4 2 3'
_cell_length_a 11.997
_cell_length_b 11.997
_cell_length_c 11.997
_cell_angle_alpha 90.00
_cell_angle_beta 90.00
_cell_angle_gamma 90.00
loop_
_atom_site_label
_atom_site_fract_x
_atom_site_fract_y
_atom_site_fract_z
Na1 0.000 0.250 0.250
Au1 0.000 0.000 0.000
Br1 0.000 0.000 0.234
Br2 0.250 0.250 0.250
```